This entry pairs a crystal structure of NaIn6Bi4 with its computed powder diffractogram. Radiation: Cu Kα. Structure: a structure optimized by DFT (PBE).
Peak positions follow from Bragg's law for the DFT cell and can differ from measured ones.

Principal peaks in the range 5° ≤ 2θ ≤ 70°, low angle first:
2θ 10.8, intensity 26
2θ 21.6, intensity 35
2θ 22.2, intensity 21
2θ 27.0, intensity 36
2θ 28.7, intensity 24
2θ 29.2, intensity 66
2θ 34.9, intensity 100
2θ 37.9, intensity 50
2θ 38.3, intensity 22
2θ 39.2, intensity 28
2θ 55.7, intensity 33
2θ 59.8, intensity 28

Structure:
```
data_NaIn6Bi4
_cell_length_a 9.4905
_cell_length_b 9.4905
_cell_length_c 4.5915
_cell_angle_alpha 90.00
_cell_angle_beta 90.00
_cell_angle_gamma 120.00
_symmetry_space_group_name_H-M 'P 1'
_symmetry_Int_Tables_number 1
loop_
_symmetry_equiv_pos_as_xyz
'x,y,z'
loop_
_atom_site_label
_atom_site_fract_x
_atom_site_fract_y
_atom_site_fract_z
_atom_site_occupancy
Na1 0.0000 0.0000 0.0000 1
In1 0.1937 0.3874 0.5000 1
In2 0.1937 0.8063 0.5000 1
In3 0.5380 0.0760 0.0000 1
In4 0.5380 0.4620 0.0000 1
In5 0.6126 0.8063 0.5000 1
In6 0.9240 0.4620 0.0000 1
Bi1 0.3333 0.6667 0.0000 1
Bi2 0.3689 0.1845 0.5000 1
Bi3 0.8155 0.1845 0.5000 1
Bi4 0.8155 0.6311 0.5000 1
```

---

This entry pairs a crystal structure of Li3Nd2Hg4 with its computed powder diffractogram. Radiation: Cu Kα. Structure: a structure optimized by DFT (PBE).
Peak positions follow from Bragg's law for the DFT cell and can differ from measured ones.

Principal peaks in the range 5° ≤ 2θ ≤ 70°, low angle first:
2θ 21.7, intensity 41
2θ 23.3, intensity 49
2θ 23.7, intensity 16
2θ 25.3, intensity 17
2θ 30.5, intensity 37
2θ 34.6, intensity 100
2θ 34.7, intensity 47
2θ 34.9, intensity 49
2θ 35.7, intensity 47
2θ 39.0, intensity 16
2θ 56.8, intensity 14
2θ 63.5, intensity 17

Structure:
```
data_Li3Nd2Hg4
_cell_length_a 5.0331
_cell_length_b 5.2140
_cell_length_c 9.1893
_cell_angle_alpha 80.68
_cell_angle_beta 89.88
_cell_angle_gamma 61.17
_symmetry_space_group_name_H-M 'P 1'
_symmetry_Int_Tables_number 1
loop_
_symmetry_equiv_pos_as_xyz
'x,y,z'
loop_
_atom_site_label
_atom_site_fract_x
_atom_site_fract_y
_atom_site_fract_z
_atom_site_occupancy
Li1 0.0000 0.0000 0.0000 1
Li2 0.3670 0.2622 0.4242 1
Li3 0.6330 0.7378 0.5758 1
Nd1 0.2969 0.4085 0.7654 1
Nd2 0.7031 0.5915 0.2346 1
Hg1 0.0576 0.8819 0.3630 1
Hg2 0.3564 0.2855 0.1112 1
Hg3 0.6436 0.7145 0.8888 1
Hg4 0.9424 0.1181 0.6370 1
```

---

This entry pairs a crystal structure of BaLaEuZnO5 with its computed powder diffractogram. Radiation: Cu Kα. Structure: a structure optimized by DFT (PBE).
Peak positions follow from Bragg's law for the DFT cell and can differ from measured ones.

Principal peaks in the range 5° ≤ 2θ ≤ 70°, low angle first:
2θ 30.0, intensity 18
2θ 30.2, intensity 100
2θ 30.6, intensity 30
2θ 36.9, intensity 10
2θ 37.2, intensity 31
2θ 37.4, intensity 23
2θ 48.6, intensity 10
2θ 48.9, intensity 16
2θ 49.0, intensity 9
2θ 54.1, intensity 16
2θ 55.9, intensity 14
2θ 60.6, intensity 10

Structure:
```
data_BaLaEuZnO5
_cell_length_a 7.6134
_cell_length_b 7.5851
_cell_length_c 6.8582
_cell_angle_alpha 63.39
_cell_angle_beta 62.97
_cell_angle_gamma 53.65
_symmetry_space_group_name_H-M 'P 1'
_symmetry_Int_Tables_number 1
loop_
_symmetry_equiv_pos_as_xyz
'x,y,z'
loop_
_atom_site_label
_atom_site_fract_x
_atom_site_fract_y
_atom_site_fract_z
_atom_site_occupancy
Ba1 0.2500 0.2500 0.2500 1
Ba2 0.7500 0.7500 0.7500 1
La1 0.1755 0.8245 0.1755 1
La2 0.8245 0.1755 0.8245 1
Eu1 0.3250 0.6750 0.6750 1
Eu2 0.6750 0.3250 0.3250 1
Zn1 0.2500 0.2500 0.7500 1
Zn2 0.7500 0.7500 0.2500 1
O1 0.0000 0.0000 0.5000 1
O2 0.0154 0.7218 0.9846 1
O3 0.2226 0.5121 0.4879 1
O4 0.2782 0.9846 0.7218 1
O5 0.4879 0.7774 0.2226 1
O6 0.5000 0.5000 0.0000 1
O7 0.5121 0.2226 0.7774 1
O8 0.7218 0.0154 0.2782 1
O9 0.7774 0.4879 0.5121 1
O10 0.9846 0.2782 0.0154 1
```

---

This entry pairs a crystal structure of Yb2Be2GeO7 with its computed powder diffractogram. Radiation: Cu Kα. Structure: a structure optimized by DFT (PBE).
Peak positions follow from Bragg's law for the DFT cell and can differ from measured ones.

Principal peaks in the range 5° ≤ 2θ ≤ 70°, low angle first:
2θ 18.3, intensity 38
2θ 24.9, intensity 41
2θ 26.7, intensity 52
2θ 30.2, intensity 42
2θ 32.6, intensity 100
2θ 38.1, intensity 26
2θ 46.3, intensity 43
2θ 52.6, intensity 16
2θ 54.1, intensity 15
2θ 54.2, intensity 26
2θ 55.6, intensity 24
2θ 63.9, intensity 15

Structure:
```
data_Yb2Be2GeO7
_cell_length_a 7.4612
_cell_length_b 7.4612
_cell_length_c 4.8548
_cell_angle_alpha 90.00
_cell_angle_beta 90.00
_cell_angle_gamma 90.00
_symmetry_space_group_name_H-M 'P 1'
_symmetry_Int_Tables_number 1
loop_
_symmetry_equiv_pos_as_xyz
'x,y,z'
loop_
_atom_site_label
_atom_site_fract_x
_atom_site_fract_y
_atom_site_fract_z
_atom_site_occupancy
Yb1 0.1589 0.3411 0.0041 1
Yb2 0.3411 0.8411 0.9959 1
Yb3 0.6589 0.1589 0.9959 1
Yb4 0.8411 0.6589 0.0041 1
Be1 0.1362 0.6362 0.5526 1
Be2 0.3638 0.1362 0.4474 1
Be3 0.6362 0.8638 0.4474 1
Be4 0.8638 0.3638 0.5526 1
Ge1 0.0000 0.0000 0.5000 1
Ge2 0.5000 0.5000 0.5000 1
O1 0.0000 0.5000 0.6843 1
O2 0.0818 0.8280 0.7141 1
O3 0.1414 0.6414 0.2227 1
O4 0.1720 0.0818 0.2858 1
O5 0.3280 0.5818 0.7141 1
O6 0.3586 0.1414 0.7773 1
O7 0.4182 0.3280 0.2858 1
O8 0.5000 0.0000 0.3157 1
O9 0.5818 0.6720 0.2858 1
O10 0.6414 0.8586 0.7773 1
O11 0.6720 0.4182 0.7141 1
O12 0.8280 0.9182 0.2858 1
O13 0.8586 0.3586 0.2227 1
O14 0.9182 0.1720 0.7141 1
```

---

This entry pairs a crystal structure of Sr2NdCu2Bi2O8 with its computed powder diffractogram. Radiation: Cu Kα. Structure: a structure optimized by DFT (PBE).
Peak positions follow from Bragg's law for the DFT cell and can differ from measured ones.

Principal peaks in the range 5° ≤ 2θ ≤ 70°, low angle first:
2θ 11.4, intensity 16
2θ 24.9, intensity 39
2θ 27.4, intensity 44
2θ 28.9, intensity 17
2θ 30.9, intensity 100
2θ 33.2, intensity 85
2θ 35.1, intensity 16
2θ 44.5, intensity 35
2θ 47.6, intensity 40
2θ 48.8, intensity 15
2θ 56.0, intensity 17
2θ 57.9, intensity 36

Structure:
```
data_Sr2NdCu2Bi2O8
_cell_length_a 15.6948
_cell_length_b 15.6948
_cell_length_c 15.6948
_cell_angle_alpha 166.02
_cell_angle_beta 166.02
_cell_angle_gamma 19.82
_symmetry_space_group_name_H-M 'P 1'
_symmetry_Int_Tables_number 1
loop_
_symmetry_equiv_pos_as_xyz
'x,y,z'
loop_
_atom_site_label
_atom_site_fract_x
_atom_site_fract_y
_atom_site_fract_z
_atom_site_occupancy
Sr1 0.1151 0.1151 0.0000 1
Sr2 0.8849 0.8849 0.0000 1
Nd1 0.0000 0.0000 0.0000 1
Cu1 0.4454 0.4454 0.0000 1
Cu2 0.5546 0.5546 0.0000 1
Bi1 0.2965 0.2965 0.0000 1
Bi2 0.7035 0.7035 0.0000 1
O1 0.0513 0.5513 0.5000 1
O2 0.2015 0.2015 0.0000 1
O3 0.3651 0.3651 0.0000 1
O4 0.4487 0.9487 0.5000 1
O5 0.5513 0.0513 0.5000 1
O6 0.6349 0.6349 0.0000 1
O7 0.7985 0.7985 0.0000 1
O8 0.9487 0.4487 0.5000 1
```

---

This entry pairs a crystal structure of La4PrSc2 with its computed powder diffractogram. Radiation: Cu Kα. Structure: a structure optimized by DFT (PBE).
Peak positions follow from Bragg's law for the DFT cell and can differ from measured ones.

Principal peaks in the range 5° ≤ 2θ ≤ 70°, low angle first:
2θ 26.2, intensity 18
2θ 26.9, intensity 14
2θ 27.8, intensity 100
2θ 30.9, intensity 18
2θ 31.4, intensity 27
2θ 31.9, intensity 49
2θ 32.5, intensity 26
2θ 34.3, intensity 14
2θ 38.0, intensity 13
2θ 38.2, intensity 13
2θ 54.4, intensity 14
2θ 57.4, intensity 14

Structure:
```
data_La4PrSc2
_cell_length_a 8.0434
_cell_length_b 8.0434
_cell_length_c 16.8435
_cell_angle_alpha 90.83
_cell_angle_beta 90.83
_cell_angle_gamma 154.06
_symmetry_space_group_name_H-M 'P 1'
_symmetry_Int_Tables_number 1
loop_
_symmetry_equiv_pos_as_xyz
'x,y,z'
loop_
_atom_site_label
_atom_site_fract_x
_atom_site_fract_y
_atom_site_fract_z
_atom_site_occupancy
La1 0.1067 0.7457 0.9241 1
La2 0.2543 0.8933 0.5759 1
La3 0.2991 0.4038 0.5800 1
La4 0.4038 0.2991 0.0800 1
La5 0.5962 0.7009 0.9200 1
La6 0.7009 0.5962 0.4200 1
La7 0.7457 0.1067 0.4241 1
La8 0.8933 0.2543 0.0759 1
Pr1 0.3112 0.6888 0.7500 1
Pr2 0.6888 0.3112 0.2500 1
Sc1 0.0132 0.9868 0.2500 1
Sc2 0.3634 0.6366 0.2500 1
Sc3 0.6366 0.3634 0.7500 1
Sc4 0.9868 0.0132 0.7500 1
```

---

This entry pairs a crystal structure of RbMgH12Cl3O6 with its computed powder diffractogram. Radiation: Cu Kα. Structure: a structure optimized by DFT (PBE).
Peak positions follow from Bragg's law for the DFT cell and can differ from measured ones.

Principal peaks in the range 5° ≤ 2θ ≤ 70°, low angle first:
2θ 18.5, intensity 37
2θ 18.6, intensity 41
2θ 19.0, intensity 28
2θ 26.3, intensity 100
2θ 26.9, intensity 48
2θ 29.2, intensity 21
2θ 29.5, intensity 57
2θ 29.9, intensity 23
2θ 30.2, intensity 16
2θ 30.4, intensity 21
2θ 37.6, intensity 32
2θ 37.7, intensity 19

Structure:
```
data_RbMgH12Cl3O6
_cell_length_a 6.6327
_cell_length_b 6.7608
_cell_length_c 13.5622
_cell_angle_alpha 90.01
_cell_angle_beta 91.75
_cell_angle_gamma 91.01
_symmetry_space_group_name_H-M 'P 1'
_symmetry_Int_Tables_number 1
loop_
_symmetry_equiv_pos_as_xyz
'x,y,z'
loop_
_atom_site_label
_atom_site_fract_x
_atom_site_fract_y
_atom_site_fract_z
_atom_site_occupancy
Rb1 0.0000 0.0000 0.0000 1
Rb2 0.9999 0.0043 0.4936 1
Mg1 0.4916 0.4931 0.2477 1
Mg2 0.5050 0.4898 0.7469 1
H1 0.0834 0.4726 0.7710 1
H2 0.1466 0.7205 0.2715 1
H3 0.1490 0.5486 0.3504 1
H4 0.1661 0.2600 0.7697 1
H5 0.2434 0.4446 0.0775 1
H6 0.2831 0.8368 0.7245 1
H7 0.2896 0.1422 0.2782 1
H8 0.3278 0.4426 0.5674 1
H9 0.4290 0.2999 0.0708 1
H10 0.4448 0.8327 0.6417 1
H11 0.4513 0.1475 0.3662 1
H12 0.4818 0.2682 0.5727 1
H13 0.5334 0.7235 0.9151 1
H14 0.5360 0.8325 0.1274 1
H15 0.5542 0.1486 0.8525 1
H16 0.5594 0.6941 0.4226 1
H17 0.6934 0.8409 0.2166 1
H18 0.6942 0.5545 0.9266 1
H19 0.7163 0.1408 0.7697 1
H20 0.7407 0.5461 0.4184 1
H21 0.8323 0.2631 0.2264 1
H22 0.8350 0.4389 0.1493 1
H23 0.8546 0.7031 0.7224 1
H24 0.8577 0.5396 0.6396 1
Cl1 0.0189 0.4980 0.5020 1
Cl2 0.4940 0.0081 0.9898 1
Cl3 0.5051 0.9798 0.5044 1
Cl4 0.9604 0.5057 0.0120 1
Cl5 0.9913 0.9910 0.2485 1
Cl6 0.9982 0.9834 0.7457 1
O1 0.2086 0.3991 0.7810 1
O2 0.2161 0.5980 0.2914 1
O3 0.3708 0.4039 0.1112 1
O4 0.4035 0.7665 0.7031 1
O5 0.4077 0.2167 0.3055 1
O6 0.4556 0.4008 0.5996 1
O7 0.5690 0.7729 0.1920 1
O8 0.5763 0.5980 0.8859 1
O9 0.5939 0.2096 0.7893 1
O10 0.6142 0.5853 0.3841 1
O11 0.7699 0.3908 0.2101 1
O12 0.8131 0.5639 0.7077 1
```

---

This entry pairs a crystal structure of PmScPb3 with its computed powder diffractogram. Radiation: Cu Kα. Structure: a structure optimized by DFT (PBE).
Peak positions follow from Bragg's law for the DFT cell and can differ from measured ones.

Principal peaks in the range 5° ≤ 2θ ≤ 70°, low angle first:
2θ 22.5, intensity 11
2θ 30.9, intensity 44
2θ 32.6, intensity 100
2θ 32.7, intensity 43
2θ 35.9, intensity 38
2θ 38.0, intensity 54
2θ 52.1, intensity 18
2θ 54.5, intensity 21
2θ 55.9, intensity 11
2θ 62.4, intensity 14
2θ 66.3, intensity 11
2θ 68.2, intensity 11

Structure:
```
data_PmScPb3
_cell_length_a 8.2203
_cell_length_b 6.5800
_cell_length_c 11.6614
_cell_angle_alpha 90.00
_cell_angle_beta 117.07
_cell_angle_gamma 90.00
_symmetry_space_group_name_H-M 'P 1'
_symmetry_Int_Tables_number 1
loop_
_symmetry_equiv_pos_as_xyz
'x,y,z'
loop_
_atom_site_label
_atom_site_fract_x
_atom_site_fract_y
_atom_site_fract_z
_atom_site_occupancy
Pm1 0.2066 0.1418 0.0178 1
Pm2 0.2066 0.3582 0.5178 1
Pm3 0.7934 0.6418 0.4822 1
Pm4 0.7934 0.8582 0.9822 1
Sc1 0.3627 0.6177 0.8365 1
Sc2 0.3627 0.8823 0.3365 1
Sc3 0.6373 0.1177 0.6635 1
Sc4 0.6373 0.3823 0.1635 1
Pb1 0.0074 0.1351 0.2338 1
Pb2 0.0074 0.3649 0.7338 1
Pb3 0.2063 0.6292 0.0485 1
Pb4 0.2063 0.8708 0.5485 1
Pb5 0.4115 0.1281 0.8282 1
Pb6 0.4115 0.3719 0.3282 1
Pb7 0.5885 0.6281 0.6718 1
Pb8 0.5885 0.8719 0.1718 1
Pb9 0.7937 0.1292 0.4515 1
Pb10 0.7937 0.3708 0.9515 1
Pb11 0.9926 0.6351 0.2662 1
Pb12 0.9926 0.8649 0.7662 1
```